Diffraction record for MgWF5. The PXRD pattern is computed, not measured: it uses a PBE+U-relaxed structure and Cu Ka.
Neutral-atom scattering factors, no anomalous dispersion.

Main lines, in order of falling intensity (2θ = 10–80°):
- 2θ = 24.76°, d 3.596, I = 100
- 2θ = 25.23°, d 3.529, I = 89
- 2θ = 17.10°, d 5.184, I = 65
- 2θ = 19.74°, d 4.498, I = 48
- 2θ = 26.24°, d 3.396, I = 44
- 2θ = 17.77°, d 4.992, I = 41
- 2θ = 44.78°, d 2.024, I = 26
- 2θ = 43.25°, d 2.092, I = 25
- 2θ = 35.30°, d 2.542, I = 20
- 2θ = 30.26°, d 2.954, I = 20

Cell and atoms:
```
data_MgWF5
_chemical_formula_sum 'Mg4 W4 F20'
_cell_length_a 5.261
_cell_length_b 10.368
_cell_length_c 7.911
_cell_angle_alpha 90.00
_cell_angle_beta 108.40
_cell_angle_gamma 90.00
_symmetry_space_group_name_H-M 'P 1'
_symmetry_Int_Tables_number 1
loop_
_symmetry_equiv_pos_as_xyz
'x,y,z'
loop_
_atom_site_label
_atom_site_fract_x
_atom_site_fract_y
_atom_site_fract_z
Mg1 0.007 0.001 0.206
Mg2 0.007 0.499 0.706
Mg3 0.993 0.501 0.294
Mg4 0.993 0.999 0.794
W1 0.408 0.242 0.633
W2 0.408 0.258 0.133
W3 0.592 0.742 0.867
W4 0.592 0.758 0.367
F1 0.101 0.110 0.628
F2 0.101 0.390 0.128
F3 0.148 0.101 0.021
F4 0.148 0.399 0.521
F5 0.263 0.634 0.335
F6 0.263 0.866 0.835
F7 0.345 0.587 0.761
F8 0.345 0.913 0.261
F9 0.369 0.174 0.371
F10 0.369 0.326 0.871
F11 0.631 0.674 0.129
F12 0.631 0.826 0.629
F13 0.655 0.087 0.739
F14 0.655 0.413 0.239
F15 0.737 0.134 0.165
F16 0.737 0.366 0.665
F17 0.852 0.601 0.479
F18 0.852 0.899 0.979
F19 0.899 0.610 0.872
F20 0.899 0.890 0.372
```

---

Diffraction record for MgWF6. The PXRD pattern is computed, not measured: it uses a PBE+U-relaxed structure and Cu Ka.
Neutral-atom scattering factors, no anomalous dispersion.

Main lines, in order of falling intensity (2θ = 10–80°):
- 2θ = 22.79°, d 3.903, I = 100
- 2θ = 20.00°, d 4.439, I = 58
- 2θ = 38.41°, d 2.344, I = 28
- 2θ = 51.38°, d 1.778, I = 26
- 2θ = 31.67°, d 2.825, I = 25
- 2θ = 18.76°, d 4.729, I = 21
- 2θ = 46.54°, d 1.951, I = 21
- 2θ = 53.45°, d 1.714, I = 17
- 2θ = 33.20°, d 2.698, I = 17
- 2θ = 37.07°, d 2.425, I = 12

Cell and atoms:
```
data_MgWF6
_chemical_formula_sum 'Mg1 W1 F6'
_cell_length_a 5.663
_cell_length_b 5.663
_cell_length_c 5.663
_cell_angle_alpha 56.91
_cell_angle_beta 56.91
_cell_angle_gamma 56.91
_symmetry_space_group_name_H-M 'P 1'
_symmetry_Int_Tables_number 1
loop_
_symmetry_equiv_pos_as_xyz
'x,y,z'
loop_
_atom_site_label
_atom_site_fract_x
_atom_site_fract_y
_atom_site_fract_z
Mg1 0.000 0.000 0.000
W1 0.500 0.500 0.500
F1 0.161 0.746 0.338
F2 0.254 0.662 0.839
F3 0.338 0.161 0.746
F4 0.662 0.839 0.254
F5 0.746 0.338 0.161
F6 0.839 0.254 0.662
```

---

Diffraction record for MgWF5. The PXRD pattern is computed, not measured: it uses a PBE+U-relaxed structure and Cu Ka.
Neutral-atom scattering factors, no anomalous dispersion.

Main lines, in order of falling intensity (2θ = 10–80°):
- 2θ = 17.45°, d 5.083, I = 100
- 2θ = 26.69°, d 3.340, I = 83
- 2θ = 22.18°, d 4.008, I = 69
- 2θ = 25.52°, d 3.491, I = 49
- 2θ = 27.13°, d 3.287, I = 35
- 2θ = 34.97°, d 2.566, I = 35
- 2θ = 47.66°, d 1.908, I = 27
- 2θ = 37.58°, d 2.393, I = 26
- 2θ = 53.31°, d 1.718, I = 24
- 2θ = 53.17°, d 1.723, I = 24

Cell and atoms:
```
data_MgWF5
_chemical_formula_sum 'Mg2 W2 F10'
_cell_length_a 5.532
_cell_length_b 5.532
_cell_length_c 7.757
_cell_angle_alpha 110.46
_cell_angle_beta 110.46
_cell_angle_gamma 72.91
_symmetry_space_group_name_H-M 'P 1'
_symmetry_Int_Tables_number 1
loop_
_symmetry_equiv_pos_as_xyz
'x,y,z'
loop_
_atom_site_label
_atom_site_fract_x
_atom_site_fract_y
_atom_site_fract_z
Mg1 0.015 0.985 0.750
Mg2 0.985 0.015 0.250
W1 0.500 0.500 0.000
W2 0.500 0.500 0.500
F1 0.179 0.804 0.055
F2 0.196 0.821 0.445
F3 0.208 0.272 0.365
F4 0.272 0.208 0.865
F5 0.356 0.644 0.750
F6 0.644 0.356 0.250
F7 0.728 0.792 0.135
F8 0.792 0.728 0.635
F9 0.804 0.179 0.555
F10 0.821 0.196 0.945
```

---

Diffraction record for MgWF4. The PXRD pattern is computed, not measured: it uses a PBE+U-relaxed structure and Cu Ka.
Neutral-atom scattering factors, no anomalous dispersion.

Main lines, in order of falling intensity (2θ = 10–80°):
- 2θ = 28.10°, d 3.176, I = 100
- 2θ = 23.00°, d 3.867, I = 47
- 2θ = 15.92°, d 5.565, I = 41
- 2θ = 39.91°, d 2.259, I = 22
- 2θ = 29.70°, d 3.008, I = 19
- 2θ = 48.71°, d 1.870, I = 19
- 2θ = 51.73°, d 1.767, I = 19
- 2θ = 33.87°, d 2.646, I = 18
- 2θ = 44.35°, d 2.043, I = 16
- 2θ = 54.89°, d 1.673, I = 16

Cell and atoms:
```
data_MgWF4
_chemical_formula_sum 'Mg2 W2 F8'
_cell_length_a 6.811
_cell_length_b 6.811
_cell_length_c 6.811
_cell_angle_alpha 136.50
_cell_angle_beta 127.58
_cell_angle_gamma 70.41
_symmetry_space_group_name_H-M 'P 1'
_symmetry_Int_Tables_number 1
loop_
_symmetry_equiv_pos_as_xyz
'x,y,z'
loop_
_atom_site_label
_atom_site_fract_x
_atom_site_fract_y
_atom_site_fract_z
Mg1 0.250 0.250 0.000
Mg2 0.750 0.750 0.000
W1 0.000 0.500 0.500
W2 0.500 0.000 0.500
F1 0.006 0.399 0.121
F2 0.222 0.101 0.606
F3 0.278 0.884 0.879
F4 0.494 0.616 0.394
F5 0.506 0.384 0.606
F6 0.722 0.116 0.121
F7 0.778 0.899 0.394
F8 0.994 0.601 0.879
```

---

Diffraction record for MnF3. The PXRD pattern is computed, not measured: it uses a PBE+U-relaxed structure and Cu Ka.
Neutral-atom scattering factors, no anomalous dispersion.

Main lines, in order of falling intensity (2θ = 10–80°):
- 2θ = 23.32°, d 3.815, I = 100
- 2θ = 22.94°, d 3.876, I = 57
- 2θ = 47.68°, d 1.907, I = 25
- 2θ = 53.73°, d 1.706, I = 23
- 2θ = 52.99°, d 1.728, I = 18
- 2θ = 46.88°, d 1.938, I = 16
- 2θ = 32.94°, d 2.719, I = 16
- 2θ = 74.03°, d 1.281, I = 15
- 2θ = 33.21°, d 2.697, I = 13
- 2θ = 53.55°, d 1.711, I = 13

Cell and atoms:
```
data_MnF3
_chemical_formula_sum 'Mn2 F6'
_cell_length_a 5.395
_cell_length_b 5.395
_cell_length_c 3.876
_cell_angle_alpha 90.00
_cell_angle_beta 90.00
_cell_angle_gamma 90.00
_symmetry_space_group_name_H-M 'P 1'
_symmetry_Int_Tables_number 1
loop_
_symmetry_equiv_pos_as_xyz
'x,y,z'
loop_
_atom_site_label
_atom_site_fract_x
_atom_site_fract_y
_atom_site_fract_z
Mn1 0.000 0.000 0.000
Mn2 0.500 0.500 0.000
F1 0.000 0.000 0.500
F2 0.203 0.297 0.000
F3 0.297 0.797 0.000
F4 0.500 0.500 0.500
F5 0.703 0.203 0.000
F6 0.797 0.703 0.000
```

---

Diffraction record for MnF4. The PXRD pattern is computed, not measured: it uses a PBE+U-relaxed structure and Cu Ka.
Neutral-atom scattering factors, no anomalous dispersion.

Main lines, in order of falling intensity (2θ = 10–80°):
- 2θ = 20.91°, d 4.248, I = 100
- 2θ = 15.67°, d 5.655, I = 64
- 2θ = 27.73°, d 3.217, I = 58
- 2θ = 53.63°, d 1.709, I = 42
- 2θ = 40.07°, d 2.250, I = 39
- 2θ = 32.01°, d 2.796, I = 24
- 2θ = 25.12°, d 3.545, I = 23
- 2θ = 34.65°, d 2.589, I = 22
- 2θ = 28.75°, d 3.105, I = 21
- 2θ = 57.27°, d 1.609, I = 17

Cell and atoms:
```
data_MnF4
_chemical_formula_sum 'Mn8 F32'
_cell_length_a 9.629
_cell_length_b 9.629
_cell_length_c 9.629
_cell_angle_alpha 96.14
_cell_angle_beta 96.14
_cell_angle_gamma 141.84
_symmetry_space_group_name_H-M 'P 1'
_symmetry_Int_Tables_number 1
loop_
_symmetry_equiv_pos_as_xyz
'x,y,z'
loop_
_atom_site_label
_atom_site_fract_x
_atom_site_fract_y
_atom_site_fract_z
Mn1 0.118 0.857 0.000
Mn2 0.357 0.858 0.739
Mn3 0.358 0.118 0.500
Mn4 0.382 0.382 0.239
Mn5 0.618 0.618 0.761
Mn6 0.642 0.882 0.500
Mn7 0.643 0.142 0.261
Mn8 0.882 0.143 0.000
F1 0.045 0.161 0.148
F2 0.056 0.227 0.890
F3 0.060 0.429 0.091
F4 0.071 0.662 0.631
F5 0.162 0.032 0.591
F6 0.163 0.834 0.390
F7 0.258 0.167 0.357
F8 0.273 0.663 0.830
F9 0.310 0.901 0.143
F10 0.333 0.190 0.091
F11 0.334 0.444 0.670
F12 0.339 0.988 0.885
F13 0.397 0.545 0.385
F14 0.401 0.758 0.591
F15 0.468 0.560 0.131
F16 0.488 0.103 0.648
F17 0.512 0.897 0.352
F18 0.532 0.440 0.869
F19 0.599 0.242 0.409
F20 0.603 0.455 0.615
F21 0.661 0.012 0.115
F22 0.666 0.556 0.330
F23 0.667 0.810 0.909
F24 0.690 0.099 0.857
F25 0.727 0.337 0.170
F26 0.742 0.833 0.643
F27 0.837 0.166 0.610
F28 0.838 0.968 0.409
F29 0.929 0.338 0.369
F30 0.940 0.571 0.909
F31 0.944 0.773 0.110
F32 0.955 0.839 0.852
```

---

Diffraction record for MnF3. The PXRD pattern is computed, not measured: it uses a PBE+U-relaxed structure and Cu Ka.
Neutral-atom scattering factors, no anomalous dispersion.

Main lines, in order of falling intensity (2θ = 10–80°):
- 2θ = 28.38°, d 3.145, I = 100
- 2θ = 20.82°, d 4.266, I = 54
- 2θ = 54.23°, d 1.691, I = 41
- 2θ = 41.48°, d 2.177, I = 33
- 2θ = 46.85°, d 1.939, I = 23
- 2θ = 60.80°, d 1.524, I = 21
- 2θ = 65.66°, d 1.422, I = 17
- 2θ = 63.85°, d 1.458, I = 8
- 2θ = 36.48°, d 2.463, I = 8
- 2θ = 58.72°, d 1.572, I = 7

Cell and atoms:
```
data_MnF3
_chemical_formula_sum 'Mn6 F18'
_cell_length_a 8.532
_cell_length_b 8.532
_cell_length_c 4.654
_cell_angle_alpha 90.00
_cell_angle_beta 90.00
_cell_angle_gamma 120.00
_symmetry_space_group_name_H-M 'P 1'
_symmetry_Int_Tables_number 1
loop_
_symmetry_equiv_pos_as_xyz
'x,y,z'
loop_
_atom_site_label
_atom_site_fract_x
_atom_site_fract_y
_atom_site_fract_z
Mn1 0.000 0.333 0.000
Mn2 0.000 0.665 0.500
Mn3 0.333 0.000 0.000
Mn4 0.335 0.335 0.500
Mn5 0.665 0.000 0.500
Mn6 0.667 0.667 0.000
F1 0.093 0.549 0.254
F2 0.119 0.876 0.258
F3 0.124 0.243 0.258
F4 0.209 0.427 0.760
F5 0.218 0.791 0.760
F6 0.243 0.124 0.742
F7 0.427 0.209 0.240
F8 0.451 0.544 0.254
F9 0.456 0.907 0.254
F10 0.544 0.451 0.746
F11 0.549 0.093 0.746
F12 0.573 0.782 0.760
F13 0.757 0.881 0.258
F14 0.782 0.573 0.240
F15 0.791 0.218 0.240
F16 0.876 0.119 0.742
F17 0.881 0.757 0.742
F18 0.907 0.456 0.746
```

---

Diffraction record for MnF3. The PXRD pattern is computed, not measured: it uses a PBE+U-relaxed structure and Cu Ka.
Neutral-atom scattering factors, no anomalous dispersion.

Main lines, in order of falling intensity (2θ = 10–80°):
- 2θ = 23.21°, d 3.832, I = 100
- 2θ = 22.79°, d 3.901, I = 58
- 2θ = 47.46°, d 1.916, I = 24
- 2θ = 53.48°, d 1.714, I = 23
- 2θ = 52.65°, d 1.738, I = 18
- 2θ = 46.56°, d 1.951, I = 17
- 2θ = 32.76°, d 2.734, I = 16
- 2θ = 73.57°, d 1.287, I = 15
- 2θ = 33.06°, d 2.709, I = 14
- 2θ = 68.67°, d 1.367, I = 13

Cell and atoms:
```
data_MnF3
_chemical_formula_sum 'Mn4 F12'
_cell_length_a 5.418
_cell_length_b 7.803
_cell_length_c 5.419
_cell_angle_alpha 90.00
_cell_angle_beta 90.01
_cell_angle_gamma 90.00
_symmetry_space_group_name_H-M 'P 1'
_symmetry_Int_Tables_number 1
loop_
_symmetry_equiv_pos_as_xyz
'x,y,z'
loop_
_atom_site_label
_atom_site_fract_x
_atom_site_fract_y
_atom_site_fract_z
Mn1 0.000 0.000 0.000
Mn2 0.000 0.500 0.000
Mn3 0.500 0.000 0.500
Mn4 0.500 0.500 0.500
F1 0.013 0.250 0.001
F2 0.206 0.506 0.309
F3 0.206 0.994 0.309
F4 0.309 0.508 0.793
F5 0.309 0.992 0.793
F6 0.486 0.250 0.504
F7 0.514 0.750 0.496
F8 0.691 0.008 0.207
F9 0.691 0.492 0.207
F10 0.794 0.006 0.691
F11 0.794 0.494 0.691
F12 0.987 0.750 0.999
```